1.
Theoretical powder XRD pattern
Compound: Ba11Rh2Au
Radiation: Cu Ka
Structure: a DFT-relaxed cell (GGA-PBE, Alexandria)
Peak positions follow from Bragg's law for the DFT cell and can differ from measured ones.

Largest 6 diffraction maxima, sorted by position, 2θ = 15–90°:
| h k l | Position (°2θ) | I (rel.) |
| --- | --- | --- |
| 2 3 3 | 28.20 | 56 |
| 2 2 4 | 28.83 | 100 |
| 4 2 0 | 29.09 | 37 |
| 3 3 2 | 29.25 | 45 |
| 3 1 4 | 30.65 | 32 |
| 0 0 8 | 45.76 | 31 |

Structure:
a = 13.532 Å, b = 14.602 Å, c = 15.849 Å
α = 90.00°, β = 90.00°, γ = 90.00°
Space group Ibam (No. 72)
Unique sites:
Ba  0.000  0.000  0.000
Ba  0.087  0.274  0.146
Ba  0.172  0.207  0.500
Ba  0.204  0.449  0.370
Rh  0.167  0.155  0.000
Au  0.000  0.500  0.250

2.
Theoretical powder XRD pattern
Compound: K12NaCd6
Radiation: Cu Ka
Structure: a DFT-relaxed cell (GGA-PBE, Alexandria)
Peak positions follow from Bragg's law for the DFT cell and can differ from measured ones.

Largest 6 diffraction maxima, sorted by position, 2θ = 15–90°:
| h k l | Position (°2θ) | I (rel.) |
| --- | --- | --- |
| 2 2 2 | 24.82 | 16 |
| 3 2 1 | 26.84 | 100 |
| 3 3 0 | 30.52 | 22 |
| 5 1 0 | 36.88 | 55 |
| 6 0 0 | 43.70 | 20 |
| 5 4 1 | 47.41 | 20 |

Structure:
a = 12.427 Å, b = 12.427 Å, c = 12.427 Å
α = 90.00°, β = 90.00°, γ = 90.00°
Space group Im-3 (No. 204)
Unique sites:
K  0.000  0.188  0.292
Na  0.000  0.000  0.000
Cd  0.000  0.383  0.500

3.
Theoretical powder XRD pattern
Compound: Ni2RhSe
Radiation: Cu Ka
Structure: a DFT-relaxed cell (GGA-PBE, Alexandria)
Peak positions follow from Bragg's law for the DFT cell and can differ from measured ones.

Largest 6 diffraction maxima, sorted by position, 2θ = 15–90°:
| h k l | Position (°2θ) | I (rel.) |
| --- | --- | --- |
| 0 2 1 | 39.16 | 100 |
| 2 2 0 | 44.79 | 67 |
| 2 0 1 | 46.37 | 61 |
| 0 4 0 | 53.83 | 19 |
| 2 4 1 | 73.73 | 29 |
| 2 2 2 | 77.24 | 25 |

Structure:
a = 5.031 Å, b = 6.812 Å, c = 3.119 Å
α = 90.00°, β = 90.00°, γ = 90.00°
Space group Cmmm (No. 65)
Unique sites:
Ni  0.250  0.250  0.000
Rh  0.000  0.000  0.500
Se  0.000  0.500  0.500

4.
Theoretical powder XRD pattern
Compound: AcPmAlSi
Radiation: Cu Ka
Structure: a DFT-relaxed cell (GGA-PBE, Alexandria)
Peak positions follow from Bragg's law for the DFT cell and can differ from measured ones.

Largest 6 diffraction maxima, sorted by position, 2θ = 15–90°:
| h k l | Position (°2θ) | I (rel.) |
| --- | --- | --- |
| 0 1 1 | 20.81 | 27 |
| 1 0 2 | 26.25 | 46 |
| 0 1 3 | 30.00 | 100 |
| 1 1 3 | 37.14 | 19 |
| 1 2 2 | 47.91 | 19 |
| 1 1 5 | 48.73 | 22 |

Structure:
a = 4.158 Å, b = 4.582 Å, c = 11.755 Å
α = 90.00°, β = 90.00°, γ = 90.00°
Space group Amm2 (No. 38)
Unique sites:
Ac  0.000  0.000  0.000
Pm  0.500  0.000  0.718
Al  0.000  0.000  0.286
Si  0.500  0.000  0.417

5.
Theoretical powder XRD pattern
Compound: AlTlHg2
Radiation: Cu Ka
Structure: a DFT-relaxed cell (GGA-PBE, Alexandria)
Peak positions follow from Bragg's law for the DFT cell and can differ from measured ones.

Largest 6 diffraction maxima, sorted by position, 2θ = 15–90°:
| h k l | Position (°2θ) | I (rel.) |
| --- | --- | --- |
| 1 0 1 | 28.93 | 30 |
| 0 0 3 | 29.26 | 19 |
| 1 0 2 | 33.62 | 100 |
| 1 1 0 | 38.85 | 39 |
| 1 1 3 | 49.37 | 19 |
| 2 1 2 | 67.02 | 28 |

Structure:
a = 3.279 Å, b = 3.279 Å, c = 9.155 Å
α = 90.00°, β = 90.00°, γ = 90.00°
Space group P4/mmm (No. 123)
Unique sites:
Al  0.000  0.000  0.000
Tl  0.000  0.000  0.500
Hg  0.500  0.500  0.213

6.
Theoretical powder XRD pattern
Compound: Np4Sb8Pd3
Radiation: Cu Ka
Structure: a DFT-relaxed cell (GGA-PBE, Alexandria)
Peak positions follow from Bragg's law for the DFT cell and can differ from measured ones.

Largest 6 diffraction maxima, sorted by position, 2θ = 15–90°:
| h k l | Position (°2θ) | I (rel.) |
| --- | --- | --- |
| 1 0 2 | 22.33 | 19 |
| 1 1 4 | 34.56 | 100 |
| 1 0 6 | 35.02 | 19 |
| 2 0 0 | 41.14 | 39 |
| 2 0 8 | 57.25 | 13 |
| 3 1 4 | 70.75 | 25 |

Structure:
a = 4.388 Å, b = 4.388 Å, c = 18.935 Å
α = 90.00°, β = 90.00°, γ = 90.00°
Space group P-4m2 (No. 115)
Unique sites:
Np  0.000  0.500  0.116
Np  0.000  0.500  0.627
Sb  0.000  0.000  0.245
Sb  0.000  0.500  0.411
Sb  0.000  0.500  0.919
Sb  0.500  0.500  0.245
Pd  0.000  0.000  0.000
Pd  0.000  0.000  0.500
Pd  0.500  0.500  0.500

7.
Theoretical powder XRD pattern
Compound: AcThPd2Pt2
Radiation: Cu Ka
Structure: a DFT-relaxed cell (GGA-PBE, Alexandria)
Peak positions follow from Bragg's law for the DFT cell and can differ from measured ones.

Largest 6 diffraction maxima, sorted by position, 2θ = 15–90°:
| h k l | Position (°2θ) | I (rel.) |
| --- | --- | --- |
| 1 0 2 | 32.41 | 100 |
| 1 1 0 | 39.28 | 62 |
| 0 2 2 | 51.80 | 27 |
| 1 1 4 | 63.10 | 24 |
| 2 1 2 | 66.89 | 26 |
| 3 0 0 | 71.20 | 11 |

Structure:
a = 4.5878 Å, b = 4.5878 Å, c = 7.6888 Å
α = 90.00°, β = 90.00°, γ = 120.00°
Space group P-3m1 (No. 164)
Unique sites:
Ac  0.0000  0.0000  0.0000
Th  0.0000  0.0000  0.5000
Pd  0.3333  0.6667  0.7126
Pt  0.3333  0.6667  0.2753

8.
Theoretical powder XRD pattern
Compound: BaRh2S3
Radiation: Cu Ka
Structure: a DFT-relaxed cell (GGA-PBE, Alexandria)
Peak positions follow from Bragg's law for the DFT cell and can differ from measured ones.

Largest 6 diffraction maxima, sorted by position, 2θ = 15–90°:
| h k l | Position (°2θ) | I (rel.) |
| --- | --- | --- |
| 1 1 1 | 20.86 | 54 |
| 1 3 0 | 25.20 | 100 |
| 2 2 0 | 25.40 | 85 |
| 2 2 1 | 30.46 | 76 |
| 0 2 2 | 36.96 | 79 |
| 3 5 0 | 50.16 | 49 |

Structure:
a = 8.817 Å, b = 11.575 Å, c = 5.360 Å
α = 90.00°, β = 90.00°, γ = 90.00°
Space group Cmcm (No. 63)
Unique sites:
Ba  0.000  0.198  0.250
Rh  0.172  0.500  0.000
S  0.000  0.401  0.750
S  0.207  0.139  0.750

9.
Theoretical powder XRD pattern
Compound: Hf2TiB
Radiation: Cu Ka
Structure: a DFT-relaxed cell (GGA-PBE, Alexandria)
Peak positions follow from Bragg's law for the DFT cell and can differ from measured ones.

Largest 6 diffraction maxima, sorted by position, 2θ = 15–90°:
| h k l | Position (°2θ) | I (rel.) |
| --- | --- | --- |
| 2 0 0 | 24.07 | 88 |
| 2 1 1 | 32.21 | 97 |
| 2 2 0 | 34.30 | 52 |
| 1 1 2 | 39.13 | 100 |
| 3 0 1 | 40.61 | 35 |
| 3 2 1 | 47.77 | 44 |

Structure:
a = 7.394 Å, b = 7.394 Å, c = 5.127 Å
α = 90.00°, β = 90.00°, γ = 90.00°
Space group I-42d (No. 122)
Unique sites:
Hf  0.179  0.250  0.125
Ti  0.000  0.000  0.500
B  0.000  0.000  0.000

10.
Theoretical powder XRD pattern
Compound: NaIn5Au2
Radiation: Cu Ka
Structure: a DFT-relaxed cell (GGA-PBE, Alexandria)
Peak positions follow from Bragg's law for the DFT cell and can differ from measured ones.

Largest 6 diffraction maxima, sorted by position, 2θ = 15–90°:
| h k l | Position (°2θ) | I (rel.) |
| --- | --- | --- |
| 0 0 2 | 15.87 | 71 |
| 1 2 1 | 30.79 | 58 |
| 1 0 3 | 32.14 | 91 |
| 1 3 0 | 37.93 | 97 |
| 0 2 4 | 38.41 | 100 |
| 1 1 4 | 40.17 | 81 |

Structure:
a = 4.197 Å, b = 8.625 Å, c = 11.169 Å
α = 90.00°, β = 90.00°, γ = 90.00°
Space group Immm (No. 71)
Unique sites:
Na  0.000  0.000  0.000
In  0.000  0.202  0.356
In  0.000  0.500  0.000
Au  0.000  0.500  0.260

11.
Theoretical powder XRD pattern
Compound: LiH6IO7
Radiation: Cu Ka
Structure: a DFT-relaxed cell (GGA-PBE, Alexandria)
Peak positions follow from Bragg's law for the DFT cell and can differ from measured ones.

Largest 6 diffraction maxima, sorted by position, 2θ = 15–90°:
| h k l | Position (°2θ) | I (rel.) |
| --- | --- | --- |
| 0 1 0 | 15.75 | 81 |
| 1 0 0 | 16.19 | 100 |
| 0 0 2 | 17.56 | 82 |
| 1 1 0 | 17.93 | 56 |
| 0 1 2 | 21.97 | 55 |
| -1 1 2 | 31.78 | 55 |

Structure:
a = 5.977 Å, b = 6.169 Å, c = 10.352 Å
α = 79.13°, β = 80.53°, γ = 67.01°
Space group P-1 (No. 2)
Unique sites:
Li  0.139  0.264  0.467
H  0.294  0.633  0.464
H  0.302  0.473  0.605
H  0.316  0.923  0.956
H  0.337  0.260  0.794
H  0.362  0.110  0.241
H  0.447  0.658  0.219
I  0.049  0.921  0.785
O  0.096  0.423  0.019
O  0.159  0.035  0.625
O  0.180  0.826  0.141
O  0.212  0.128  0.304
O  0.227  0.521  0.518
O  0.334  0.971  0.859
O  0.385  0.398  0.753

12.
Theoretical powder XRD pattern
Compound: BeIrNF2
Radiation: Cu Ka
Structure: a DFT-relaxed cell (GGA-PBE, Alexandria)
Peak positions follow from Bragg's law for the DFT cell and can differ from measured ones.

Largest 6 diffraction maxima, sorted by position, 2θ = 15–90°:
| h k l | Position (°2θ) | I (rel.) |
| --- | --- | --- |
| 0 0 2 | 24.69 | 94 |
| 1 0 0 | 29.46 | 53 |
| 1 0 1 | 32.02 | 100 |
| 1 0 2 | 38.81 | 53 |
| 1 1 1 | 44.06 | 69 |
| 1 0 3 | 48.32 | 33 |

Structure:
a = 3.032 Å, b = 3.032 Å, c = 7.211 Å
α = 90.00°, β = 90.00°, γ = 90.00°
Space group P4/mmm (No. 123)
Unique sites:
Be  0.000  0.000  0.000
Ir  0.500  0.500  0.500
N  0.000  0.000  0.500
F  0.000  0.500  0.000

13.
Theoretical powder XRD pattern
Compound: Be2Zn
Radiation: Cu Ka
Structure: a DFT-relaxed cell (GGA-PBE, Alexandria)
Peak positions follow from Bragg's law for the DFT cell and can differ from measured ones.

Largest 6 diffraction maxima, sorted by position, 2θ = 15–90°:
| h k l | Position (°2θ) | I (rel.) |
| --- | --- | --- |
| 0 0 2 | 26.39 | 43 |
| 0 1 1 | 27.03 | 100 |
| 1 0 1 | 37.47 | 52 |
| 1 1 0 | 42.56 | 23 |
| 0 1 3 | 46.97 | 31 |
| 1 1 2 | 50.78 | 49 |

Structure:
a = 2.568 Å, b = 3.780 Å, c = 6.756 Å
α = 90.00°, β = 90.00°, γ = 90.00°
Space group Immm (No. 71)
Unique sites:
Be  0.000  0.000  0.201
Zn  0.000  0.500  0.000